Computed X-ray diffraction stick pattern
Compound: Li2MnSiO4
Radiation: CuKα
Structure: a structure optimized by DFT (PBE+U)

Structural model:
a b c (Å): 7.449 7.840 6.337
angles (deg): 90.00 90.00 90.00
Space group C222_1 (No. 20)
Symmetry-distinct sites (fractional):
Li1 0.000 0.189 0.250 x4
Li2 0.177 0.500 0.500 x4
Mn1 0.000 0.179 0.750 x4
Si1 0.175 0.500 0.000 x4
O1 0.039 0.333 0.006 x8
O2 0.199 0.008 0.285 x8

The 10 most intense peaks (5° ≤ 2θ ≤ 70°), by intensity:
21.6 deg, rel. 100
33.2 deg, rel. 54
32.8 deg, rel. 50
59.0 deg, rel. 33
46.7 deg, rel. 16
36.2 deg, rel. 16
26.7 deg, rel. 14
40.7 deg, rel. 13
23.9 deg, rel. 12
46.1 deg, rel. 9